Starting from a structure optimized by DFT (GGA-PBE), the X-ray diffraction stick pattern of Pm8Hg2Rh3 was calculated for Cu Kα X-rays.

Largest 10 diffraction maxima, sorted by position, 2θ = 10–80°:
Position (°2θ)	d_spacing	I_rel
21.4	4.159	26
35.2	2.552	100
35.3	2.544	26
35.5	2.530	25
50.9	1.794	18
62.9	1.478	8
63.0	1.475	8
63.2	1.470	18
63.5	1.465	18
74.3	1.276	10

Crystal structure
a b c (Å): 8.861 5.060 8.872
angles (deg): 90.00 109.95 90.00
Element x y z (fractional)
1 Pm 0.115 0.000 0.384
2 Pm 0.131 0.500 0.862
3 Pm 0.362 0.500 0.630
4 Pm 0.385 0.000 0.116
5 Pm 0.615 0.000 0.884
6 Pm 0.638 0.500 0.370
7 Pm 0.869 0.500 0.138
8 Pm 0.885 0.000 0.616
9 Hg 0.256 0.500 0.244
10 Hg 0.744 0.500 0.756
11 Rh 0.000 0.500 0.500
12 Rh 0.255 0.000 0.755
13 Rh 0.745 0.000 0.245

---

Starting from a structure optimized by DFT (GGA-PBE), the X-ray diffraction stick pattern of Pm3HgRu2 was calculated for Cu Kα X-rays.

Largest 10 diffraction maxima, sorted by position, 2θ = 10–80°:
Position (°2θ)	d_spacing	I_rel
26.6	3.355	6
29.9	2.991	9
34.8	2.581	100
36.2	2.482	50
47.8	1.904	7
52.1	1.755	18
61.4	1.511	14
64.2	1.451	34
73.4	1.291	8
76.8	1.241	6

Crystal structure
a b c (Å): 3.510 3.510 11.426
angles (deg): 90.00 90.00 90.00
Element x y z (fractional)
1 Pm 0.000 0.000 0.000
2 Pm 0.000 0.000 0.304
3 Pm 0.000 0.000 0.696
4 Hg 0.500 0.500 0.500
5 Ru 0.500 0.500 0.159
6 Ru 0.500 0.500 0.841

---

Starting from a structure optimized by DFT (GGA-PBE), the X-ray diffraction stick pattern of Pm5Hg2Ru2 was calculated for Cu Kα X-rays.

Largest 10 diffraction maxima, sorted by position, 2θ = 10–80°:
Position (°2θ)	d_spacing	I_rel
30.5	2.930	41
31.8	2.814	47
32.2	2.783	100
32.7	2.741	47
34.2	2.621	58
36.7	2.446	43
37.4	2.402	40
37.9	2.372	32
58.0	1.591	27
64.1	1.453	22

Crystal structure
a b c (Å): 8.946 8.946 7.842
angles (deg): 90.00 90.00 50.73
Element x y z (fractional)
1 Pm 0.000 0.000 0.000
2 Pm 0.048 0.713 0.669
3 Pm 0.213 0.548 0.169
4 Pm 0.287 0.952 0.669
5 Pm 0.452 0.787 0.169
6 Pm 0.500 0.500 0.500
7 Pm 0.548 0.213 0.831
8 Pm 0.713 0.048 0.331
9 Pm 0.787 0.452 0.831
10 Pm 0.952 0.287 0.331
11 Hg 0.215 0.215 0.000
12 Hg 0.285 0.285 0.500
13 Hg 0.715 0.715 0.500
14 Hg 0.785 0.785 0.000
15 Ru 0.132 0.868 0.366
16 Ru 0.368 0.632 0.866
17 Ru 0.632 0.368 0.134
18 Ru 0.868 0.132 0.634